For Ta3InCN, a structure optimized by DFT (PBE) gives the computed powder diffractogram in this record (Cu Kα, 1.54184 Å).
Neutral-atom scattering factors, no anomalous dispersion.

Structure:
```
data_Ta3InCN
_chemical_formula_sum 'Ta6 In2 C2 N2'
_cell_length_a 3.1314
_cell_length_b 3.1314
_cell_length_c 19.7795
_cell_angle_alpha 90.00
_cell_angle_beta 90.00
_cell_angle_gamma 120.00
_symmetry_space_group_name_H-M 'P 1'
_symmetry_Int_Tables_number 1
loop_
_symmetry_equiv_pos_as_xyz
'x,y,z'
loop_
_atom_site_label
_atom_site_type_symbol
_atom_site_fract_x
_atom_site_fract_y
_atom_site_fract_z
_atom_site_occupancy
Ta1 Ta 0.0000 0.0000 0.0000 1
Ta2 Ta 0.0000 0.0000 0.5000 1
Ta3 Ta 0.3333 0.6667 0.1257 1
Ta4 Ta 0.3333 0.6667 0.3710 1
Ta5 Ta 0.6667 0.3333 0.6290 1
Ta6 Ta 0.6667 0.3333 0.8743 1
In1 In 0.0000 0.0000 0.2482 1
In2 In 0.0000 0.0000 0.7518 1
C1 C 0.3333 0.6667 0.5665 1
C2 C 0.6667 0.3333 0.4335 1
N1 N 0.3333 0.6667 0.9373 1
N2 N 0.6667 0.3333 0.0627 1
```

Peak list (6 most intense, 10° ≤ 2θ ≤ 80°, low angle first)
d_spacing	Position (°2θ)	Rel. int.
2.687	33.35	28
2.472	36.34	32
2.378	37.84	100
2.237	40.32	24
1.566	59.00	28
1.323	71.30	28

For Zr4In2CN, a structure optimized by DFT (PBE) gives the computed powder diffractogram in this record (Cu Kα, 1.54184 Å).
Neutral-atom scattering factors, no anomalous dispersion.

Structure:
```
data_Zr4In2CN
_chemical_formula_sum 'Zr4 In2 C1 N1'
_cell_length_a 3.3478
_cell_length_b 3.3478
_cell_length_c 14.9253
_cell_angle_alpha 90.00
_cell_angle_beta 90.00
_cell_angle_gamma 120.00
_symmetry_space_group_name_H-M 'P 1'
_symmetry_Int_Tables_number 1
loop_
_symmetry_equiv_pos_as_xyz
'x,y,z'
loop_
_atom_site_label
_atom_site_type_symbol
_atom_site_fract_x
_atom_site_fract_y
_atom_site_fract_z
_atom_site_occupancy
Zr1 Zr 0.3333 0.6667 0.0834 1
Zr2 Zr 0.3333 0.6667 0.4178 1
Zr3 Zr 0.6667 0.3333 0.5822 1
Zr4 Zr 0.6667 0.3333 0.9166 1
In1 In 0.3333 0.6667 0.7484 1
In2 In 0.6667 0.3333 0.2516 1
C1 C 0.0000 0.0000 0.0000 1
N1 N 0.0000 0.0000 0.5000 1
```

Peak list (6 most intense, 10° ≤ 2θ ≤ 80°, low angle first)
d_spacing	Position (°2θ)	Rel. int.
2.899	30.84	21
2.505	35.85	100
2.488	36.11	20
1.674	54.85	20
1.440	64.76	17
1.389	67.44	19

For Pm4In2C3, a structure optimized by DFT (PBE) gives the computed powder diffractogram in this record (Cu Kα, 1.54184 Å).
Neutral-atom scattering factors, no anomalous dispersion.

Structure:
```
data_Pm4In2C3
_chemical_formula_sum 'Pm4 In2 C3'
_cell_length_a 6.7233
_cell_length_b 3.4454
_cell_length_c 9.0375
_cell_angle_alpha 90.00
_cell_angle_beta 90.83
_cell_angle_gamma 90.00
_symmetry_space_group_name_H-M 'P 1'
_symmetry_Int_Tables_number 1
loop_
_symmetry_equiv_pos_as_xyz
'x,y,z'
loop_
_atom_site_label
_atom_site_type_symbol
_atom_site_fract_x
_atom_site_fract_y
_atom_site_fract_z
_atom_site_occupancy
Pm1 Pm 0.0000 0.0000 0.0000 1
Pm2 Pm 0.1974 0.0000 0.6227 1
Pm3 Pm 0.4156 0.0000 0.2740 1
Pm4 Pm 0.6872 0.0000 0.5897 1
In1 In 0.4787 0.0000 0.9213 1
In2 In 0.9598 0.5000 0.3270 1
C1 C 0.2327 0.5000 0.9364 1
C2 C 0.4180 0.5000 0.4571 1
C3 C 0.9400 0.5000 0.5803 1
```

Peak list (6 most intense, 10° ≤ 2θ ≤ 80°, low angle first)
d_spacing	Position (°2θ)	Rel. int.
3.445	25.86	89
3.136	28.47	91
3.012	29.66	100
2.737	32.72	55
2.716	32.98	68
2.319	38.83	90

For Zr4InSiC2, a structure optimized by DFT (PBE) gives the computed powder diffractogram in this record (Cu Kα, 1.54184 Å).
Neutral-atom scattering factors, no anomalous dispersion.

Structure:
```
data_Zr4InSiC2
_chemical_formula_sum 'Zr4 In1 Si1 C2'
_cell_length_a 3.3514
_cell_length_b 3.3514
_cell_length_c 14.3378
_cell_angle_alpha 90.00
_cell_angle_beta 90.00
_cell_angle_gamma 120.00
_symmetry_space_group_name_H-M 'P 1'
_symmetry_Int_Tables_number 1
loop_
_symmetry_equiv_pos_as_xyz
'x,y,z'
loop_
_atom_site_label
_atom_site_type_symbol
_atom_site_fract_x
_atom_site_fract_y
_atom_site_fract_z
_atom_site_occupancy
Zr1 Zr 0.0000 0.0000 0.1474 1
Zr2 Zr 0.0000 0.0000 0.8526 1
Zr3 Zr 0.3333 0.6667 0.3240 1
Zr4 Zr 0.3333 0.6667 0.6760 1
In1 In 0.0000 0.0000 0.5000 1
Si1 Si 0.3333 0.6667 0.0000 1
C1 C 0.6667 0.3333 0.2378 1
C2 C 0.6667 0.3333 0.7622 1
```

Peak list (6 most intense, 10° ≤ 2θ ≤ 80°, low angle first)
d_spacing	Position (°2θ)	Rel. int.
2.902	30.81	25
2.481	36.21	100
2.390	37.64	15
1.676	54.78	23
1.389	67.45	15
1.372	68.37	15

For Y2Ta4In3C3, a structure optimized by DFT (PBE) gives the computed powder diffractogram in this record (Cu Kα, 1.54184 Å).
Neutral-atom scattering factors, no anomalous dispersion.

Structure:
```
data_Y2Ta4In3C3
_chemical_formula_sum 'Y4 Ta8 In6 C6'
_cell_length_a 5.8054
_cell_length_b 5.8054
_cell_length_c 14.8451
_cell_angle_alpha 101.60
_cell_angle_beta 101.60
_cell_angle_gamma 59.88
_symmetry_space_group_name_H-M 'P 1'
_symmetry_Int_Tables_number 1
loop_
_symmetry_equiv_pos_as_xyz
'x,y,z'
loop_
_atom_site_label
_atom_site_type_symbol
_atom_site_fract_x
_atom_site_fract_y
_atom_site_fract_z
_atom_site_occupancy
Y1 Y 0.0377 0.8804 0.6079 1
Y2 Y 0.1196 0.9623 0.8921 1
Y3 Y 0.8804 0.0377 0.1079 1
Y4 Y 0.9623 0.1196 0.3921 1
Ta1 Ta 0.1921 0.3426 0.0727 1
Ta2 Ta 0.2927 0.4900 0.4273 1
Ta3 Ta 0.3426 0.1921 0.5727 1
Ta4 Ta 0.4900 0.2927 0.9273 1
Ta5 Ta 0.5100 0.7073 0.0727 1
Ta6 Ta 0.6574 0.8079 0.4273 1
Ta7 Ta 0.7073 0.5100 0.5727 1
Ta8 Ta 0.8079 0.6574 0.9273 1
In1 In 0.0855 0.3626 0.7535 1
In2 In 0.3626 0.0855 0.2535 1
In3 In 0.4713 0.5287 0.2500 1
In4 In 0.5287 0.4713 0.7500 1
In5 In 0.6374 0.9145 0.7465 1
In6 In 0.9145 0.6374 0.2465 1
C1 C 0.0000 0.5000 0.5000 1
C2 C 0.1747 0.6505 0.0000 1
C3 C 0.3495 0.8253 0.5000 1
C4 C 0.5000 0.0000 0.0000 1
C5 C 0.6505 0.1747 0.5000 1
C6 C 0.8253 0.3495 0.0000 1
```

Peak list (6 most intense, 10° ≤ 2θ ≤ 80°, low angle first)
d_spacing	Position (°2θ)	Rel. int.
4.986	17.79	13
2.901	30.82	31
2.492	36.05	54
2.481	36.21	100
2.407	37.35	42
1.674	54.85	14

For Zr4In3W2C3, a structure optimized by DFT (PBE) gives the computed powder diffractogram in this record (Cu Kα, 1.54184 Å).
Neutral-atom scattering factors, no anomalous dispersion.

Structure:
```
data_Zr4In3W2C3
_chemical_formula_sum 'Zr8 In6 W4 C6'
_cell_length_a 5.6448
_cell_length_b 5.6448
_cell_length_c 15.0445
_cell_angle_alpha 100.97
_cell_angle_beta 100.97
_cell_angle_gamma 60.16
_symmetry_space_group_name_H-M 'P 1'
_symmetry_Int_Tables_number 1
loop_
_symmetry_equiv_pos_as_xyz
'x,y,z'
loop_
_atom_site_label
_atom_site_type_symbol
_atom_site_fract_x
_atom_site_fract_y
_atom_site_fract_z
_atom_site_occupancy
Zr1 Zr 0.0357 0.1901 0.0884 1
Zr2 Zr 0.1302 0.3047 0.4116 1
Zr3 Zr 0.1901 0.0357 0.5884 1
Zr4 Zr 0.3047 0.1302 0.9116 1
Zr5 Zr 0.6953 0.8698 0.0884 1
Zr6 Zr 0.8099 0.9643 0.4116 1
Zr7 Zr 0.8698 0.6953 0.5884 1
Zr8 Zr 0.9643 0.8099 0.9116 1
In1 In 0.1107 0.8893 0.2500 1
In2 In 0.2736 0.4180 0.7520 1
In3 In 0.4180 0.2736 0.2520 1
In4 In 0.5820 0.7264 0.7480 1
In5 In 0.7264 0.5820 0.2480 1
In6 In 0.8893 0.1107 0.7500 1
W1 W 0.3491 0.5246 0.0743 1
W2 W 0.4754 0.6509 0.4257 1
W3 W 0.5246 0.3491 0.5743 1
W4 W 0.6509 0.4754 0.9257 1
C1 C 0.0000 0.5000 0.0000 1
C2 C 0.1805 0.6600 0.5000 1
C3 C 0.3400 0.8195 0.0000 1
C4 C 0.5000 0.0000 0.5000 1
C5 C 0.6600 0.1805 0.0000 1
C6 C 0.8195 0.3400 0.5000 1
```

Peak list (6 most intense, 10° ≤ 2θ ≤ 80°, low angle first)
d_spacing	Position (°2θ)	Rel. int.
2.825	31.68	25
2.448	36.71	100
2.441	36.82	36
1.632	56.37	15
1.413	66.11	13
1.357	69.24	16

For Y4ZnInC2, a structure optimized by DFT (PBE) gives the computed powder diffractogram in this record (Cu Kα, 1.54184 Å).
Neutral-atom scattering factors, no anomalous dispersion.

Structure:
```
data_Y4ZnInC2
_chemical_formula_sum 'Y4 Zn1 In1 C2'
_cell_length_a 3.6213
_cell_length_b 3.6213
_cell_length_c 15.6306
_cell_angle_alpha 90.00
_cell_angle_beta 90.00
_cell_angle_gamma 120.00
_symmetry_space_group_name_H-M 'P 1'
_symmetry_Int_Tables_number 1
loop_
_symmetry_equiv_pos_as_xyz
'x,y,z'
loop_
_atom_site_label
_atom_site_type_symbol
_atom_site_fract_x
_atom_site_fract_y
_atom_site_fract_z
_atom_site_occupancy
Y1 Y 0.0000 0.0000 0.1529 1
Y2 Y 0.0000 0.0000 0.8471 1
Y3 Y 0.3333 0.6667 0.3262 1
Y4 Y 0.3333 0.6667 0.6738 1
Zn1 Zn 0.3333 0.6667 0.0000 1
In1 In 0.0000 0.0000 0.5000 1
C1 C 0.6667 0.3333 0.2389 1
C2 C 0.6667 0.3333 0.7611 1
```

Peak list (6 most intense, 10° ≤ 2θ ≤ 80°, low angle first)
d_spacing	Position (°2θ)	Rel. int.
3.135	28.47	25
2.687	33.35	100
2.605	34.43	17
1.811	50.40	22
1.502	61.78	16
1.487	62.46	18

For Zr4InC3, a structure optimized by DFT (PBE) gives the computed powder diffractogram in this record (Cu Kα, 1.54184 Å).
Neutral-atom scattering factors, no anomalous dispersion.

Structure:
```
data_Zr4InC3
_chemical_formula_sum 'Zr8 In2 C6'
_cell_length_a 3.3688
_cell_length_b 3.3688
_cell_length_c 25.8341
_cell_angle_alpha 90.00
_cell_angle_beta 90.00
_cell_angle_gamma 120.00
_symmetry_space_group_name_H-M 'P 1'
_symmetry_Int_Tables_number 1
loop_
_symmetry_equiv_pos_as_xyz
'x,y,z'
loop_
_atom_site_label
_atom_site_type_symbol
_atom_site_fract_x
_atom_site_fract_y
_atom_site_fract_z
_atom_site_occupancy
Zr1 Zr 0.0000 0.0000 0.1521 1
Zr2 Zr 0.0000 0.0000 0.3479 1
Zr3 Zr 0.0000 0.0000 0.6521 1
Zr4 Zr 0.0000 0.0000 0.8479 1
Zr5 Zr 0.3333 0.6667 0.0505 1
Zr6 Zr 0.3333 0.6667 0.4495 1
Zr7 Zr 0.6667 0.3333 0.5505 1
Zr8 Zr 0.6667 0.3333 0.9495 1
In1 In 0.3333 0.6667 0.2500 1
In2 In 0.6667 0.3333 0.7500 1
C1 C 0.0000 0.0000 0.0000 1
C2 C 0.0000 0.0000 0.5000 1
C3 C 0.3333 0.6667 0.6079 1
C4 C 0.3333 0.6667 0.8921 1
C5 C 0.6667 0.3333 0.1079 1
C6 C 0.6667 0.3333 0.3921 1
```

Peak list (6 most intense, 10° ≤ 2θ ≤ 80°, low angle first)
d_spacing	Position (°2θ)	Rel. int.
2.659	33.71	70
2.583	34.72	51
2.540	35.33	100
2.415	37.23	85
1.684	54.48	52
1.411	66.22	60

For IrC8, a structure optimized by DFT (PBE) gives the computed powder diffractogram in this record (Cu Kα, 1.54184 Å).
Neutral-atom scattering factors, no anomalous dispersion.

Structure:
```
data_IrC8
_chemical_formula_sum 'Ir2 C16'
_cell_length_a 8.9817
_cell_length_b 8.2483
_cell_length_c 4.9985
_cell_angle_alpha 81.39
_cell_angle_beta 65.23
_cell_angle_gamma 33.38
_symmetry_space_group_name_H-M 'P 1'
_symmetry_Int_Tables_number 1
loop_
_symmetry_equiv_pos_as_xyz
'x,y,z'
loop_
_atom_site_label
_atom_site_type_symbol
_atom_site_fract_x
_atom_site_fract_y
_atom_site_fract_z
_atom_site_occupancy
Ir1 Ir 0.1250 0.1250 0.1250 1
Ir2 Ir 0.8750 0.8750 0.8750 1
C1 C 0.0802 0.4120 0.3365 1
C2 C 0.0834 0.4182 0.8321 1
C3 C 0.1663 0.8321 0.4182 1
C4 C 0.1679 0.8337 0.9166 1
C5 C 0.3287 0.6635 0.5880 1
C6 C 0.3365 0.6713 0.0802 1
C7 C 0.4120 0.0802 0.6713 1
C8 C 0.4182 0.0834 0.1663 1
C9 C 0.5818 0.9166 0.8337 1
C10 C 0.5880 0.9198 0.3287 1
C11 C 0.6635 0.3287 0.9198 1
C12 C 0.6713 0.3365 0.4120 1
C13 C 0.8321 0.1663 0.0834 1
C14 C 0.8337 0.1679 0.5818 1
C15 C 0.9166 0.5818 0.1679 1
C16 C 0.9198 0.5880 0.6635 1
```

Peak list (6 most intense, 10° ≤ 2θ ≤ 80°, low angle first)
d_spacing	Position (°2θ)	Rel. int.
4.159	21.37	100
3.798	23.42	81
3.331	26.77	58
2.542	35.32	28
2.468	36.40	26
1.891	48.13	34

For IrC4, a structure optimized by DFT (PBE) gives the computed powder diffractogram in this record (Cu Kα, 1.54184 Å).
Neutral-atom scattering factors, no anomalous dispersion.

Structure:
```
data_IrC4
_chemical_formula_sum 'Ir8 C32'
_cell_length_a 4.8913
_cell_length_b 7.4490
_cell_length_c 9.1808
_cell_angle_alpha 90.00
_cell_angle_beta 90.00
_cell_angle_gamma 90.00
_symmetry_space_group_name_H-M 'P 1'
_symmetry_Int_Tables_number 1
loop_
_symmetry_equiv_pos_as_xyz
'x,y,z'
loop_
_atom_site_label
_atom_site_type_symbol
_atom_site_fract_x
_atom_site_fract_y
_atom_site_fract_z
_atom_site_occupancy
Ir1 Ir 0.1253 0.1321 0.0652 1
Ir2 Ir 0.1253 0.3679 0.5652 1
Ir3 Ir 0.3747 0.6321 0.0652 1
Ir4 Ir 0.3747 0.8679 0.5652 1
Ir5 Ir 0.6253 0.1321 0.4348 1
Ir6 Ir 0.6253 0.3679 0.9348 1
Ir7 Ir 0.8747 0.6321 0.4348 1
Ir8 Ir 0.8747 0.8679 0.9348 1
C1 C 0.0304 0.1904 0.3826 1
C2 C 0.0304 0.3096 0.8826 1
C3 C 0.0526 0.1916 0.7481 1
C4 C 0.0526 0.3084 0.2481 1
C5 C 0.1973 0.5797 0.7605 1
C6 C 0.1973 0.9203 0.2605 1
C7 C 0.2282 0.0429 0.3848 1
C8 C 0.2282 0.4571 0.8848 1
C9 C 0.2718 0.5429 0.3848 1
C10 C 0.2718 0.9571 0.8848 1
C11 C 0.3027 0.0797 0.7605 1
C12 C 0.3027 0.4203 0.2605 1
C13 C 0.4474 0.6916 0.7481 1
C14 C 0.4474 0.8084 0.2481 1
C15 C 0.4696 0.6904 0.3826 1
C16 C 0.4696 0.8096 0.8826 1
C17 C 0.5304 0.1904 0.1174 1
C18 C 0.5304 0.3096 0.6174 1
C19 C 0.5526 0.1916 0.7519 1
C20 C 0.5526 0.3084 0.2519 1
C21 C 0.6973 0.5797 0.7395 1
C22 C 0.6973 0.9203 0.2395 1
C23 C 0.7282 0.0429 0.1152 1
C24 C 0.7282 0.4571 0.6152 1
C25 C 0.7718 0.5429 0.1152 1
C26 C 0.7718 0.9571 0.6152 1
C27 C 0.8027 0.0797 0.7395 1
C28 C 0.8027 0.4203 0.2395 1
C29 C 0.9474 0.6916 0.7519 1
C30 C 0.9474 0.8084 0.2519 1
C31 C 0.9696 0.6904 0.1174 1
C32 C 0.9696 0.8096 0.6174 1
```

Peak list (6 most intense, 10° ≤ 2θ ≤ 80°, low angle first)
d_spacing	Position (°2θ)	Rel. int.
4.590	19.34	68
3.735	23.82	91
3.347	26.63	38
2.820	31.73	100
2.364	38.06	92
2.324	38.75	46

For Ir4C5, a structure optimized by DFT (PBE) gives the computed powder diffractogram in this record (Cu Kα, 1.54184 Å).
Neutral-atom scattering factors, no anomalous dispersion.

Structure:
```
data_Ir4C5
_chemical_formula_sum 'Ir16 C20'
_cell_length_a 5.0357
_cell_length_b 5.0357
_cell_length_c 15.0337
_cell_angle_alpha 90.00
_cell_angle_beta 90.00
_cell_angle_gamma 90.00
_symmetry_space_group_name_H-M 'P 1'
_symmetry_Int_Tables_number 1
loop_
_symmetry_equiv_pos_as_xyz
'x,y,z'
loop_
_atom_site_label
_atom_site_type_symbol
_atom_site_fract_x
_atom_site_fract_y
_atom_site_fract_z
_atom_site_occupancy
Ir1 Ir 0.0000 0.0000 0.0000 1
Ir2 Ir 0.0000 0.0000 0.2500 1
Ir3 Ir 0.0000 0.0000 0.5000 1
Ir4 Ir 0.0000 0.0000 0.7500 1
Ir5 Ir 0.0000 0.5000 0.0600 1
Ir6 Ir 0.0000 0.5000 0.3263 1
Ir7 Ir 0.0000 0.5000 0.5600 1
Ir8 Ir 0.0000 0.5000 0.8263 1
Ir9 Ir 0.5000 0.0000 0.1737 1
Ir10 Ir 0.5000 0.0000 0.4400 1
Ir11 Ir 0.5000 0.0000 0.6737 1
Ir12 Ir 0.5000 0.0000 0.9400 1
Ir13 Ir 0.5000 0.5000 0.1350 1
Ir14 Ir 0.5000 0.5000 0.3650 1
Ir15 Ir 0.5000 0.5000 0.6350 1
Ir16 Ir 0.5000 0.5000 0.8650 1
C1 C 0.1604 0.2291 0.1466 1
C2 C 0.1604 0.7709 0.6466 1
C3 C 0.1905 0.3342 0.9458 1
C4 C 0.1905 0.6658 0.4458 1
C5 C 0.2291 0.1604 0.3534 1
C6 C 0.2291 0.8396 0.8534 1
C7 C 0.3223 0.3223 0.7500 1
C8 C 0.3223 0.6777 0.2500 1
C9 C 0.3342 0.1905 0.5542 1
C10 C 0.3342 0.8095 0.0542 1
C11 C 0.6658 0.1905 0.0542 1
C12 C 0.6658 0.8095 0.5542 1
C13 C 0.6777 0.3223 0.2500 1
C14 C 0.6777 0.6777 0.7500 1
C15 C 0.7709 0.1604 0.8534 1
C16 C 0.7709 0.8396 0.3534 1
C17 C 0.8095 0.3342 0.4458 1
C18 C 0.8095 0.6658 0.9458 1
C19 C 0.8396 0.2291 0.6466 1
C20 C 0.8396 0.7709 0.1466 1
```

Peak list (6 most intense, 10° ≤ 2θ ≤ 80°, low angle first)
d_spacing	Position (°2θ)	Rel. int.
3.012	29.66	100
2.518	35.66	63
1.932	47.04	64
1.780	51.32	26
1.662	55.27	34
1.215	78.76	28